Record 1
Calculated powder X-ray diffraction pattern
Compound: Er2GaNi7
Radiation: Cu Kα
Structure: a DFT-relaxed cell (PBE, Alexandria)

Peak list (12 most intense, 10 to 90 degrees two-theta, sorted by position)
| 2theta | I_rel |
| --- | --- |
| 20.38 | 2.7 |
| 28.98 | 81.3 |
| 35.69 | 93.4 |
| 41.45 | 100.0 |
| 46.61 | 1.7 |
| 51.37 | 33.8 |
| 60.06 | 64.2 |
| 64.12 | 1.1 |
| 68.04 | 14.7 |
| 71.86 | 34.1 |
| 75.60 | 21.1 |
| 82.91 | 17.4 |

Structure:
Lattice parameters (Å, degrees): 6.1619 6.1619 6.1619 60.00 60.00 60.00
Positions (direct):
Er 0.2500 0.2500 0.2500
Er 0.7500 0.7500 0.7500
Ga 0.0000 0.0000 0.0000
Ni 0.2508 0.2508 0.7492
Ni 0.2508 0.7492 0.2508
Ni 0.2508 0.7492 0.7492
Ni 0.5000 0.5000 0.5000
Ni 0.7492 0.2508 0.2508
Ni 0.7492 0.2508 0.7492
Ni 0.7492 0.7492 0.2508

Record 2
Calculated powder X-ray diffraction pattern
Compound: ErTmGaNi
Radiation: Cu Kα
Structure: a DFT-relaxed cell (PBE, Alexandria)

Peak list (12 most intense, 10 to 90 degrees two-theta, sorted by position)
| 2theta | I_rel |
| --- | --- |
| 26.52 | 41.0 |
| 33.14 | 100.0 |
| 33.46 | 25.9 |
| 35.08 | 46.6 |
| 39.61 | 22.9 |
| 41.02 | 43.7 |
| 41.86 | 28.8 |
| 49.74 | 19.7 |
| 55.73 | 37.0 |
| 66.17 | 14.5 |
| 66.99 | 14.1 |
| 81.45 | 16.2 |

Structure:
Lattice parameters (Å, degrees): 4.3158 5.6609 5.6609 37.79 90.00 90.00
Positions (direct):
Er 0.0000 0.0000 0.0000
Tm 0.5000 0.7157 0.7157
Ga 0.0000 0.2848 0.2848
Ni 0.5000 0.4249 0.4249

Record 3
Calculated powder X-ray diffraction pattern
Compound: ErGa2O4
Radiation: Cu Kα
Structure: a DFT-relaxed cell (PBE, Alexandria)

Peak list (12 most intense, 10 to 90 degrees two-theta, sorted by position)
| 2theta | I_rel |
| --- | --- |
| 19.61 | 50.0 |
| 25.94 | 47.9 |
| 32.73 | 100.0 |
| 34.00 | 14.2 |
| 39.56 | 15.4 |
| 39.83 | 17.7 |
| 48.15 | 18.5 |
| 53.35 | 31.8 |
| 57.60 | 12.9 |
| 60.05 | 16.8 |
| 67.85 | 23.3 |
| 87.99 | 11.6 |

Structure:
Lattice parameters (Å, degrees): 4.5262 4.5262 5.2734 90.00 90.00 90.00
Positions (direct):
Er 0.0000 0.0000 0.0000
Ga 0.0000 0.5000 0.5000
Ga 0.5000 0.0000 0.5000
O 0.2411 0.2411 0.2907
O 0.2411 0.7589 0.7093
O 0.7589 0.2411 0.7093
O 0.7589 0.7589 0.2907

Record 4
Calculated powder X-ray diffraction pattern
Compound: ErGaO3
Radiation: Cu Kα
Structure: a DFT-relaxed cell (PBE, Alexandria)

Peak list (12 most intense, 10 to 90 degrees two-theta, sorted by position)
| 2theta | I_rel |
| --- | --- |
| 12.05 | 100.0 |
| 23.63 | 32.4 |
| 25.04 | 58.4 |
| 30.80 | 85.8 |
| 31.18 | 78.7 |
| 32.59 | 37.3 |
| 33.75 | 52.9 |
| 35.49 | 82.5 |
| 47.92 | 34.2 |
| 49.98 | 43.4 |
| 52.53 | 20.5 |
| 56.80 | 20.5 |

Structure:
Lattice parameters (Å, degrees): 5.5050 3.4844 7.7064 90.00 107.59 90.00
Positions (direct):
Er 0.2042 0.2500 0.4001
Er 0.7958 0.7500 0.5999
Ga 0.3836 0.2500 0.8418
Ga 0.6164 0.7500 0.1582
O 0.0598 0.2500 0.6442
O 0.3193 0.7500 0.9285
O 0.4471 0.7500 0.3436
O 0.5529 0.2500 0.6564
O 0.6807 0.2500 0.0715
O 0.9402 0.7500 0.3558

Record 5
Calculated powder X-ray diffraction pattern
Compound: SrEr4Ga3O12
Radiation: Cu Kα
Structure: a DFT-relaxed cell (PBE, Alexandria)

Peak list (12 most intense, 10 to 90 degrees two-theta, sorted by position)
| 2theta | I_rel |
| --- | --- |
| 21.87 | 17.6 |
| 31.13 | 100.0 |
| 34.91 | 2.1 |
| 38.37 | 4.2 |
| 44.60 | 21.0 |
| 50.20 | 10.0 |
| 55.38 | 47.6 |
| 64.90 | 12.5 |
| 69.38 | 2.9 |
| 73.73 | 18.5 |
| 77.98 | 2.7 |
| 82.17 | 4.9 |

Structure:
Lattice parameters (Å, degrees): 7.0385 7.0385 7.0385 109.47 109.47 109.47
Positions (direct):
Sr 0.0000 0.0000 0.0000
Er 0.0000 0.0000 0.5000
Er 0.0000 0.5000 0.0000
Er 0.5000 0.0000 0.0000
Er 0.5000 0.5000 0.5000
Ga 0.0000 0.5000 0.5000
Ga 0.5000 0.0000 0.5000
Ga 0.5000 0.5000 0.0000
O 0.1588 0.3233 0.4821
O 0.1588 0.6767 0.8354
O 0.1646 0.8412 0.3233
O 0.3233 0.1646 0.8412
O 0.3233 0.4821 0.1588
O 0.4821 0.1588 0.3233
O 0.5179 0.8412 0.6767
O 0.6767 0.5179 0.8412
O 0.6767 0.8354 0.1588
O 0.8354 0.1588 0.6767
O 0.8412 0.3233 0.1646
O 0.8412 0.6767 0.5179

Record 6
Calculated powder X-ray diffraction pattern
Compound: Er7Ga2Os2
Radiation: Cu Kα
Structure: a DFT-relaxed cell (PBE, Alexandria)

Peak list (12 most intense, 10 to 90 degrees two-theta, sorted by position)
| 2theta | I_rel |
| --- | --- |
| 12.72 | 28.8 |
| 26.24 | 39.9 |
| 28.38 | 46.2 |
| 29.34 | 30.3 |
| 30.46 | 19.1 |
| 33.57 | 52.5 |
| 34.58 | 28.7 |
| 37.97 | 55.8 |
| 38.59 | 100.0 |
| 46.68 | 21.4 |
| 52.61 | 19.3 |
| 81.16 | 18.4 |

Structure:
Lattice parameters (Å, degrees): 6.6068 6.6068 6.9588 90.00 90.00 107.82
Positions (direct):
Er 0.0000 0.0000 0.0000
Er 0.0000 0.5000 0.2601
Er 0.0000 0.5000 0.7399
Er 0.5000 0.0000 0.2601
Er 0.5000 0.0000 0.7399
Er 0.5000 0.5000 0.2525
Er 0.5000 0.5000 0.7475
Ga 0.1678 0.1678 0.5000
Ga 0.8322 0.8322 0.5000
Os 0.2968 0.7032 0.0000
Os 0.7032 0.2968 0.0000

Record 7
Calculated powder X-ray diffraction pattern
Compound: Er2Ga4Os
Radiation: Cu Kα
Structure: a DFT-relaxed cell (PBE, Alexandria)

Peak list (12 most intense, 10 to 90 degrees two-theta, sorted by position)
| 2theta | I_rel |
| --- | --- |
| 12.15 | 47.6 |
| 26.45 | 79.7 |
| 26.95 | 100.0 |
| 36.32 | 59.4 |
| 36.70 | 36.6 |
| 37.02 | 31.4 |
| 38.48 | 96.7 |
| 47.31 | 34.0 |
| 53.95 | 38.2 |
| 54.47 | 40.9 |
| 55.56 | 33.1 |
| 87.08 | 23.5 |

Structure:
Lattice parameters (Å, degrees): 8.0005 8.0005 8.0005 146.00 146.00 48.85
Positions (direct):
Er 0.1369 0.1369 0.0000
Er 0.8631 0.8631 0.0000
Ga 0.0000 0.5000 0.5000
Ga 0.3273 0.3273 0.0000
Ga 0.5000 0.0000 0.5000
Ga 0.6727 0.6727 0.0000
Os 0.5000 0.5000 0.0000

Record 8
Calculated powder X-ray diffraction pattern
Compound: Er5Ga2Os
Radiation: Cu Kα
Structure: a DFT-relaxed cell (PBE, Alexandria)

Peak list (12 most intense, 10 to 90 degrees two-theta, sorted by position)
| 2theta | I_rel |
| --- | --- |
| 28.37 | 14.0 |
| 29.82 | 30.0 |
| 33.21 | 100.0 |
| 34.74 | 65.0 |
| 35.27 | 24.8 |
| 36.35 | 15.4 |
| 39.59 | 50.5 |
| 55.84 | 24.9 |
| 59.96 | 18.5 |
| 69.81 | 11.1 |
| 71.52 | 13.1 |
| 77.27 | 10.9 |

Structure:
Lattice parameters (Å, degrees): 8.9928 8.9928 8.9928 132.82 132.82 68.94
Positions (direct):
Er 0.0000 0.0000 0.0000
Er 0.0248 0.5248 0.8544
Er 0.1704 0.0248 0.5000
Er 0.3296 0.8296 0.8544
Er 0.4752 0.3296 0.5000
Er 0.5000 0.5000 0.0000
Er 0.5248 0.6704 0.5000
Er 0.6704 0.1704 0.1456
Er 0.8296 0.9752 0.5000
Er 0.9752 0.4752 0.1456
Ga 0.1206 0.3794 0.5000
Ga 0.3794 0.8794 0.2589
Ga 0.6206 0.1206 0.7411
Ga 0.8794 0.6206 0.5000
Os 0.2500 0.2500 0.0000
Os 0.7500 0.7500 0.0000